Entry 1:
The following is a theoretical PXRD pattern of Ba2PaBe2N4. It was derived from a structure optimized by DFT (PBE), using Cu Kα X-rays.

Top 10 peaks for 15° ≤ 2θ ≤ 90°, in order of rising 2θ:
2θ (°), intensity
15.31, 30
24.20, 77
26.78, 100
27.32, 53
28.42, 42
29.26, 66
34.41, 59
37.40, 93
40.69, 57
45.15, 32

Structure:
Lattice parameters (Å, degrees): 12.309 3.476 6.678 90.00 109.88 90.00
Space group C2/m (No. 12)
One atom of each set of equivalent atoms:
Ba  0.146  0.000  0.082 (multiplicity 4)
Pa  0.000  0.000  0.500 (multiplicity 2)
Be  0.181  0.500  0.471 (multiplicity 4)
N  0.037  0.500  0.298 (multiplicity 4)
N  0.201  0.000  0.614 (multiplicity 4)

Entry 2:
The following is a theoretical PXRD pattern of Ba4Pa3BeN8. It was derived from a structure optimized by DFT (PBE), using Cu Kα X-rays.

Top 10 peaks for 15° ≤ 2θ ≤ 90°, in order of rising 2θ:
2θ (°), intensity
15.02, 22
27.96, 65
30.00, 52
30.30, 100
33.67, 53
34.72, 97
47.82, 37
50.44, 34
56.83, 21
59.15, 26

Structure:
Lattice parameters (Å, degrees): 12.628 7.088 7.571 90.00 122.54 90.00
Space group C2/m (No. 12)
One atom of each set of equivalent atoms:
Ba  0.000  0.000  0.000 (multiplicity 2)
Ba  0.000  0.500  0.000 (multiplicity 2)
Ba  0.250  0.250  0.000 (multiplicity 4)
Pa  0.000  0.000  0.500 (multiplicity 2)
Pa  0.250  0.250  0.500 (multiplicity 4)
Be  0.000  0.500  0.500 (multiplicity 2)
N  0.028  0.244  0.324 (multiplicity 8)
N  0.225  0.000  0.680 (multiplicity 4)
N  0.249  0.500  0.691 (multiplicity 4)

Entry 3:
The following is a theoretical PXRD pattern of BaTmBeN2. It was derived from a structure optimized by DFT (PBE), using Cu Kα X-rays.

Top 10 peaks for 15° ≤ 2θ ≤ 90°, in order of rising 2θ:
2θ (°), intensity
23.18, 100
26.56, 29
31.12, 25
34.81, 16
35.53, 73
41.36, 23
44.31, 21
47.38, 17
55.14, 19
58.27, 17

Structure:
Lattice parameters (Å, degrees): 5.155 5.748 6.713 90.00 90.00 90.00
Space group Pccm (No. 49)
One atom of each set of equivalent atoms:
Ba  0.000  0.000  0.250 (multiplicity 2)
Tm  0.500  0.500  0.250 (multiplicity 2)
Be  0.000  0.500  0.000 (multiplicity 2)
N  0.247  0.347  0.000 (multiplicity 4)

Entry 4:
The following is a theoretical PXRD pattern of Ba3NdBe2O6. It was derived from a structure optimized by DFT (PBE), using Cu Kα X-rays.

Top 10 peaks for 15° ≤ 2θ ≤ 90°, in order of rising 2θ:
2θ (°), intensity
17.47, 25
21.23, 41
29.89, 100
30.50, 82
37.46, 28
43.23, 49
53.82, 35
54.20, 16
63.48, 14
71.72, 17

Structure:
Lattice parameters (Å, degrees): 5.8620 5.8620 7.3986 90.00 90.00 120.00
Space group P-3m1 (No. 164)
One atom of each set of equivalent atoms:
Ba  0.0000  0.0000  0.0000 (multiplicity 1)
Ba  0.3333  0.6667  0.6899 (multiplicity 2)
Nd  0.0000  0.0000  0.5000 (multiplicity 1)
Be  0.3333  0.6667  0.2734 (multiplicity 2)
O  0.1806  0.3613  0.2992 (multiplicity 6)